(1)
For Tb2TcMoN5, a crystal structure in Alexandria, relaxed with GGA-PBE gives the computed powder XRD pattern in this record (CuKα).
No peak broadening, texture or thermal motion is included.

Structure:
abc: 6.7300 6.7300 10.3008
angles: 90.00 90.00 152.16
Positions (direct):
Tb (0.1076, 0.8924, 0.5000)
Tb (0.1489, 0.8511, 0.0855)
Tb (0.8511, 0.1489, 0.5855)
Tb (0.8924, 0.1076, 0.0000)
Tc (0.4787, 0.5213, 0.2619)
Tc (0.5213, 0.4787, 0.7619)
Mo (0.2213, 0.7787, 0.8076)
Mo (0.7787, 0.2213, 0.3076)
N (0.0517, 0.9483, 0.8551)
N (0.2793, 0.7207, 0.4421)
N (0.3211, 0.6789, 0.1698)
N (0.3683, 0.6317, 0.7981)
N (0.4871, 0.5129, 0.5792)
N (0.5129, 0.4871, 0.0792)
N (0.6317, 0.3683, 0.2981)
N (0.6789, 0.3211, 0.6698)
N (0.7207, 0.2793, 0.9421)
N (0.9483, 0.0517, 0.3551)

Most intense lines, 5° ≤ 2θ ≤ 70°, sorted by position:
29.4 deg, I 64; 32.5 deg, I 100; 33.4 deg, I 95; 34.5 deg, I 73; 34.8 deg, I 31; 35.6 deg, I 32; 38.8 deg, I 82; 57.1 deg, I 32


(2)
For TmMoN2, a crystal structure in Alexandria, relaxed with GGA-PBE gives the computed powder XRD pattern in this record (CuKα).
No peak broadening, texture or thermal motion is included.

Structure:
abc: 5.6538 3.1668 10.5262
angles: 90.00 90.00 90.00
Positions (direct):
Tm (0.0785, 0.2500, 0.1464)
Tm (0.4215, 0.7500, 0.6464)
Tm (0.5785, 0.2500, 0.3536)
Tm (0.9215, 0.7500, 0.8536)
Mo (0.0677, 0.7500, 0.4064)
Mo (0.4323, 0.2500, 0.9064)
Mo (0.5677, 0.7500, 0.0936)
Mo (0.9323, 0.2500, 0.5936)
N (0.1648, 0.2500, 0.7513)
N (0.2360, 0.7500, 0.9947)
N (0.2640, 0.2500, 0.4947)
N (0.3352, 0.7500, 0.2513)
N (0.6648, 0.2500, 0.7487)
N (0.7360, 0.7500, 0.5053)
N (0.7640, 0.2500, 0.0053)
N (0.8352, 0.7500, 0.2487)

Most intense lines, 5° ≤ 2θ ≤ 70°, sorted by position:
30.0 deg, I 24; 31.7 deg, I 14; 32.8 deg, I 26; 34.1 deg, I 21; 36.7 deg, I 100; 41.0 deg, I 13; 52.2 deg, I 14; 57.6 deg, I 19


(3)
For Tm2MoN4, a crystal structure in Alexandria, relaxed with GGA-PBE gives the computed powder XRD pattern in this record (CuKα).
No peak broadening, texture or thermal motion is included.

Structure:
abc: 7.9819 6.9060 6.0750
angles: 75.59 56.93 47.49
Positions (direct):
Tm (0.0691, 0.6809, 0.0691)
Tm (0.3191, 0.9309, 0.3191)
Tm (0.6809, 0.0691, 0.6809)
Tm (0.9309, 0.3191, 0.9309)
Mo (0.3750, 0.3750, 0.3750)
Mo (0.6250, 0.6250, 0.6250)
N (0.1684, 0.7346, 0.3419)
N (0.2550, 0.3419, 0.7346)
N (0.2654, 0.8316, 0.7450)
N (0.3419, 0.2550, 0.1684)
N (0.6581, 0.7450, 0.8316)
N (0.7346, 0.1684, 0.2550)
N (0.7450, 0.6581, 0.2654)
N (0.8316, 0.2654, 0.6581)

Most intense lines, 5° ≤ 2θ ≤ 70°, sorted by position:
22.6 deg, I 31; 29.3 deg, I 58; 30.4 deg, I 94; 31.3 deg, I 100; 37.0 deg, I 45; 47.9 deg, I 31; 50.6 deg, I 26; 53.2 deg, I 26


(4)
For Zn3Mo3N, a crystal structure in Alexandria, relaxed with GGA-PBE gives the computed powder XRD pattern in this record (CuKα).
No peak broadening, texture or thermal motion is included.

Structure:
abc: 8.0358 8.0358 8.0358
angles: 60.00 60.00 60.00
Positions (direct):
Zn (0.0000, 0.0000, 0.0000)
Zn (0.0000, 0.0000, 0.5000)
Zn (0.0000, 0.5000, 0.0000)
Zn (0.1295, 0.7902, 0.7902)
Zn (0.2098, 0.2098, 0.2098)
Zn (0.2098, 0.2098, 0.8705)
Zn (0.2098, 0.8705, 0.2098)
Zn (0.5000, 0.0000, 0.0000)
Zn (0.7902, 0.1295, 0.7902)
Zn (0.7902, 0.7902, 0.1295)
Zn (0.7902, 0.7902, 0.7902)
Zn (0.8705, 0.2098, 0.2098)
Mo (0.1847, 0.1847, 0.5653)
Mo (0.1847, 0.5653, 0.1847)
Mo (0.1847, 0.5653, 0.5653)
Mo (0.4347, 0.4347, 0.8153)
Mo (0.4347, 0.8153, 0.4347)
Mo (0.4347, 0.8153, 0.8153)
Mo (0.5653, 0.1847, 0.1847)
Mo (0.5653, 0.1847, 0.5653)
Mo (0.5653, 0.5653, 0.1847)
Mo (0.8153, 0.4347, 0.4347)
Mo (0.8153, 0.4347, 0.8153)
Mo (0.8153, 0.8153, 0.4347)
N (0.0000, 0.5000, 0.5000)
N (0.5000, 0.0000, 0.5000)
N (0.5000, 0.5000, 0.0000)
N (0.5000, 0.5000, 0.5000)

Most intense lines, 5° ≤ 2θ ≤ 70°, sorted by position:
34.4 deg, I 14; 38.8 deg, I 39; 41.3 deg, I 100; 45.1 deg, I 29; 48.0 deg, I 7; 58.0 deg, I 4; 62.8 deg, I 6; 67.5 deg, I 5


(5)
For ZnMoN2, a crystal structure in Alexandria, relaxed with GGA-PBE gives the computed powder XRD pattern in this record (CuKα).
No peak broadening, texture or thermal motion is included.

Structure:
abc: 2.9413 2.9413 11.5461
angles: 90.00 90.00 120.00
Positions (direct):
Zn (0.3333, 0.6667, 0.0000)
Zn (0.6667, 0.3333, 0.5000)
Mo (0.3333, 0.6667, 0.7702)
Mo (0.6667, 0.3333, 0.2702)
N (0.3333, 0.6667, 0.1647)
N (0.3333, 0.6667, 0.3859)
N (0.6667, 0.3333, 0.6647)
N (0.6667, 0.3333, 0.8859)

Most intense lines, 5° ≤ 2θ ≤ 70°, sorted by position:
15.3 deg, I 24; 31.0 deg, I 53; 35.2 deg, I 56; 36.1 deg, I 100; 42.6 deg, I 56; 47.6 deg, I 24; 53.6 deg, I 74; 63.2 deg, I 36


(6)
For Zn2Mo3N, a crystal structure in Alexandria, relaxed with GGA-PBE gives the computed powder XRD pattern in this record (CuKα).
No peak broadening, texture or thermal motion is included.

Structure:
abc: 6.8284 6.8284 6.8284
angles: 90.00 90.00 90.00
Positions (direct):
Zn (0.0699, 0.0699, 0.0699)
Zn (0.1801, 0.8199, 0.3199)
Zn (0.3199, 0.1801, 0.8199)
Zn (0.4301, 0.9301, 0.5699)
Zn (0.5699, 0.4301, 0.9301)
Zn (0.6801, 0.6801, 0.6801)
Zn (0.8199, 0.3199, 0.1801)
Zn (0.9301, 0.5699, 0.4301)
Mo (0.0432, 0.8750, 0.7068)
Mo (0.1250, 0.2068, 0.4568)
Mo (0.2068, 0.4568, 0.1250)
Mo (0.2932, 0.5432, 0.6250)
Mo (0.3750, 0.7932, 0.9568)
Mo (0.4568, 0.1250, 0.2068)
Mo (0.5432, 0.6250, 0.2932)
Mo (0.6250, 0.2932, 0.5432)
Mo (0.7068, 0.0432, 0.8750)
Mo (0.7932, 0.9568, 0.3750)
Mo (0.8750, 0.7068, 0.0432)
Mo (0.9568, 0.3750, 0.7932)
N (0.1250, 0.6250, 0.8750)
N (0.3750, 0.3750, 0.3750)
N (0.6250, 0.8750, 0.1250)
N (0.8750, 0.1250, 0.6250)

Most intense lines, 5° ≤ 2θ ≤ 70°, sorted by position:
29.2 deg, I 6; 39.6 deg, I 100; 41.8 deg, I 57; 44.0 deg, I 21; 50.0 deg, I 7; 57.2 deg, I 7; 60.6 deg, I 8; 63.9 deg, I 3